Starting from the PBE+U geometry in the Materials Project, the powder diffractogram of Na2FePCO7 was computed for copper Kα.
No peak broadening, texture or thermal motion is included.

Atomic structure:
Unit cell a=6.5324 b=8.9534 c=10.4830 alpha=90.45 beta=90.20 gamma=90.71
Fractional positions:
Na: 0.0000 0.0000 0.0000
Na: 0.9997 0.9997 0.4980
Na: 0.2480 0.8182 0.7426
Na: 0.2661 0.8174 0.2429
Na: 0.5035 0.4727 0.7517
Na: 0.7263 0.6552 0.0066
Na: 0.7290 0.6549 0.5055
Na: 0.9746 0.4728 0.2509
Fe: 0.2353 0.3912 0.5162
Fe: 0.2420 0.3912 0.0163
Fe: 0.7235 0.0819 0.2320
Fe: 0.7265 0.0818 0.7321
P: 0.2334 0.1613 0.2693
P: 0.2351 0.1611 0.7693
P: 0.7380 0.3118 0.4791
P: 0.7402 0.3117 0.9789
C: 0.2324 0.6722 0.9891
C: 0.2372 0.6718 0.4894
C: 0.7425 0.8015 0.7594
C: 0.7500 0.8016 0.2592
O: 0.0460 0.0582 0.2379
O: 0.0470 0.0607 0.7356
O: 0.2211 0.8120 0.4763
O: 0.2209 0.8120 0.9747
O: 0.2238 0.2062 0.4131
O: 0.2238 0.2064 0.9130
O: 0.2247 0.6089 0.1021
O: 0.2313 0.3052 0.1891
O: 0.2318 0.5784 0.3924
O: 0.2454 0.3050 0.6890
O: 0.2546 0.5790 0.8929
O: 0.2610 0.6093 0.6016
O: 0.4224 0.0635 0.2423
O: 0.4237 0.0610 0.7447
O: 0.5492 0.4099 0.0018
O: 0.5496 0.4070 0.5145
O: 0.7292 0.6615 0.7733
O: 0.7373 0.2661 0.3353
O: 0.7405 0.2664 0.8351
O: 0.7425 0.1681 0.0597
O: 0.7427 0.8951 0.3561
O: 0.7441 0.8645 0.1461
O: 0.7471 0.8644 0.6461
O: 0.7477 0.8953 0.8563
O: 0.7497 0.1686 0.5599
O: 0.7560 0.6614 0.2730
O: 0.9263 0.4141 0.0136
O: 0.9266 0.4170 0.5010

Principal peaks in the range 2θ from 10° to 90°, low angle first:
two_theta  I_rel
16.70  20
19.56  55
19.69  52
26.08  27
27.31  100
33.76  35
34.21  57
56.35  26

---

Starting from the PBE+U geometry in the Materials Project, the powder diffractogram of Na5Fe2P2C2O14 was computed for copper Kα.
No peak broadening, texture or thermal motion is included.

Atomic structure:
Unit cell a=5.2728 b=6.6225 c=8.9945 alpha=88.05 beta=89.16 gamma=89.70
Fractional positions:
Na: 0.0000 0.0000 0.0000
Na: 0.0001 0.4940 0.0054
Na: 0.0201 0.2395 0.3510
Na: 0.4946 0.4914 0.5304
Na: 0.4954 0.7684 0.1889
Fe: 0.0340 0.7728 0.6091
Fe: 0.4757 0.2502 0.9117
P: 0.5331 0.7508 0.8420
P: 0.9567 0.2629 0.6813
C: 0.5296 0.2578 0.2016
C: 0.9820 0.7519 0.3283
O: 0.0225 0.0716 0.5895
O: 0.0421 0.4496 0.5809
O: 0.0980 0.2557 0.8308
O: 0.2051 0.7627 0.3890
O: 0.3040 0.2404 0.1429
O: 0.3731 0.7457 0.6994
O: 0.4709 0.9354 0.9373
O: 0.4830 0.5646 0.9475
O: 0.5566 0.2941 0.3383
O: 0.6686 0.2770 0.7098
O: 0.7286 0.2370 0.1129
O: 0.7882 0.7547 0.4198
O: 0.8234 0.7530 0.7970
O: 0.9565 0.7431 0.1864

Principal peaks in the range 2θ from 10° to 90°, low angle first:
two_theta  I_rel
19.40  43
19.64  43
26.94  100
33.06  41
33.77  45
34.01  62
34.20  46
55.51  36

---

Starting from the PBE+U geometry in the Materials Project, the powder diffractogram of Na5Fe2P2C2O14 was computed for copper Kα.
No peak broadening, texture or thermal motion is included.

Atomic structure:
Unit cell a=8.4401 b=8.4403 c=9.0194 alpha=89.28 beta=89.96 gamma=76.80
Fractional positions:
Na: 0.0073 0.2578 0.4209
Na: 0.1156 0.8801 0.2400
Na: 0.3613 0.6228 0.7643
Na: 0.3822 0.1112 0.2331
Na: 0.4788 0.2563 0.5836
Na: 0.5212 0.7437 0.4164
Na: 0.6178 0.8888 0.7669
Na: 0.6387 0.3772 0.2357
Na: 0.8844 0.1199 0.7600
Na: 0.9927 0.7422 0.5791
Fe: 0.2332 0.0219 0.8420
Fe: 0.2601 0.4825 0.1441
Fe: 0.7399 0.5175 0.8559
Fe: 0.7668 0.9781 0.1580
P: 0.0222 0.7280 0.9201
P: 0.4765 0.7680 0.0820
P: 0.5235 0.2320 0.9180
P: 0.9778 0.2720 0.0799
C: 0.2481 0.5107 0.4264
C: 0.2609 0.9834 0.5525
C: 0.7391 0.0166 0.4475
C: 0.7519 0.4894 0.5736
O: 0.0463 0.1941 0.9352
O: 0.0853 0.8448 0.8122
O: 0.1095 0.3325 0.1721
O: 0.1439 0.0901 0.6132
O: 0.1499 0.6086 0.3357
O: 0.1705 0.5820 0.9570
O: 0.2433 0.5285 0.5662
O: 0.2740 0.9728 0.4098
O: 0.3263 0.9078 0.0481
O: 0.3519 0.3902 0.3630
O: 0.3668 0.8876 0.6385
O: 0.4032 0.1677 0.8191
O: 0.4234 0.6297 0.1732
O: 0.4445 0.3027 0.0676
O: 0.5555 0.6973 0.9324
O: 0.5766 0.3703 0.8268
O: 0.5968 0.8323 0.1809
O: 0.6332 0.1124 0.3615
O: 0.6481 0.6098 0.6370
O: 0.6737 0.0922 0.9519
O: 0.7260 0.0272 0.5902
O: 0.7567 0.4715 0.4338
O: 0.8295 0.4180 0.0430
O: 0.8501 0.3914 0.6643
O: 0.8561 0.9099 0.3868
O: 0.8905 0.6675 0.8279
O: 0.9147 0.1552 0.1878
O: 0.9537 0.8059 0.0648

Principal peaks in the range 2θ from 10° to 90°, low angle first:
two_theta  I_rel
19.50  42
19.67  39
25.94  28
26.96  100
33.47  53
33.70  37
34.22  85
55.58  27

---

Starting from the PBE+U geometry in the Materials Project, the powder diffractogram of Na2FePCO7 was computed for copper Kα.
No peak broadening, texture or thermal motion is included.

Atomic structure:
Unit cell a=6.5478 b=10.3537 c=10.3984 alpha=60.64 beta=89.48 gamma=89.27
Fractional positions:
Na: 0.0000 0.0000 0.0000
Na: 0.9996 0.4998 0.4998
Na: 0.0233 0.4881 0.9852
Na: 0.2694 0.8342 0.8213
Na: 0.2720 0.3354 0.3204
Na: 0.4962 0.9887 0.4845
Na: 0.7335 0.6520 0.1649
Na: 0.7516 0.1523 0.6659
Fe: 0.2749 0.2740 0.8087
Fe: 0.2748 0.7741 0.3087
Fe: 0.7562 0.2127 0.1782
Fe: 0.7643 0.7124 0.6784
P: 0.2587 0.1357 0.1769
P: 0.2612 0.6359 0.6767
P: 0.7637 0.3507 0.8102
P: 0.7651 0.8508 0.3101
C: 0.2488 0.6608 0.1410
C: 0.2571 0.1608 0.6409
C: 0.7613 0.8266 0.8462
C: 0.7661 0.3264 0.3464
O: 0.0723 0.7106 0.7065
O: 0.0727 0.2219 0.1926
O: 0.2443 0.6039 0.0569
O: 0.2506 0.6446 0.5244
O: 0.2528 0.0793 0.7855
O: 0.2537 0.3043 0.5902
O: 0.2542 0.8042 0.0901
O: 0.2546 0.5795 0.2856
O: 0.2566 0.1439 0.0245
O: 0.2588 0.9695 0.2984
O: 0.2611 0.4695 0.7980
O: 0.2687 0.1042 0.5566
O: 0.4495 0.2081 0.2024
O: 0.4490 0.7193 0.6886
O: 0.5754 0.2748 0.7886
O: 0.5762 0.7758 0.2863
O: 0.7387 0.9072 0.7022
O: 0.7451 0.1838 0.3966
O: 0.7553 0.8432 0.4623
O: 0.7650 0.3434 0.9623
O: 0.7665 0.6829 0.8968
O: 0.7739 0.4074 0.2016
O: 0.7736 0.5169 0.6885
O: 0.7749 0.0170 0.1885
O: 0.7765 0.3823 0.4306
O: 0.7766 0.8837 0.9291
O: 0.9512 0.2673 0.7914
O: 0.9523 0.7668 0.2933

Principal peaks in the range 2θ from 10° to 90°, low angle first:
two_theta  I_rel
16.68  25
16.87  19
19.63  100
26.12  26
27.24  95
33.70  33
34.24  43
42.22  23

---

Starting from the PBE+U geometry in the Materials Project, the powder diffractogram of Na5Fe2P2C2O14 was computed for copper Kα.
No peak broadening, texture or thermal motion is included.

Atomic structure:
Unit cell a=8.9811 b=6.6710 c=10.4542 alpha=90.00 beta=90.32 gamma=90.00
Fractional positions:
Na: 0.0750 0.0000 0.1137
Na: 0.0890 0.0080 0.6236
Na: 0.2603 0.7610 0.8686
Na: 0.2651 0.2450 0.3788
Na: 0.2646 0.7526 0.3809
Na: 0.7354 0.2526 0.6191
Na: 0.7349 0.7450 0.6212
Na: 0.7397 0.2610 0.1314
Na: 0.9110 0.5080 0.3764
Na: 0.9250 0.5000 0.8863
Fe: 0.3482 0.4951 0.6168
Fe: 0.3526 0.4915 0.1011
Fe: 0.6474 0.9915 0.8989
Fe: 0.6518 0.9951 0.3832
P: 0.4147 0.9986 0.1443
P: 0.4229 0.9982 0.6481
P: 0.5771 0.4982 0.3519
P: 0.5853 0.4986 0.8557
C: 0.0541 0.5050 0.6335
C: 0.0721 0.4992 0.1367
C: 0.9279 0.9992 0.8633
C: 0.9459 0.0050 0.3665
O: 0.0682 0.9823 0.8511
O: 0.0897 0.9994 0.3578
O: 0.1175 0.4970 0.5208
O: 0.1351 0.5127 0.0248
O: 0.1365 0.5159 0.7349
O: 0.1648 0.5020 0.2348
O: 0.3177 0.1881 0.1157
O: 0.3230 0.1798 0.6157
O: 0.3225 0.8114 0.1025
O: 0.3236 0.8127 0.6190
O: 0.4297 0.4984 0.4271
O: 0.4347 0.5097 0.9275
O: 0.4447 0.9899 0.2901
O: 0.4663 0.9917 0.7946
O: 0.5337 0.4917 0.2054
O: 0.5553 0.4899 0.7099
O: 0.5653 0.0097 0.0725
O: 0.5703 0.9984 0.5729
O: 0.6764 0.3127 0.3810
O: 0.6775 0.3114 0.8975
O: 0.6770 0.6798 0.3843
O: 0.6823 0.6881 0.8843
O: 0.8352 0.0020 0.7652
O: 0.8635 0.0159 0.2651
O: 0.8649 0.0127 0.9752
O: 0.8825 0.9970 0.4792
O: 0.9103 0.4994 0.6422
O: 0.9318 0.4823 0.1489

Principal peaks in the range 2θ from 10° to 90°, low angle first:
two_theta  I_rel
16.55  32
19.65  76
26.09  28
26.73  100
33.39  65
33.47  44
34.31  58
48.92  36

---

Starting from the PBE+U geometry in the Materials Project, the powder diffractogram of Na3FePCO7 was computed for copper Kα.
No peak broadening, texture or thermal motion is included.

Atomic structure:
Unit cell a=5.2180 b=6.6813 c=9.0866 alpha=90.00 beta=90.61 gamma=90.00
Fractional positions:
Na: 0.2338 0.2500 0.0835
Na: 0.2508 0.5039 0.7379
Na: 0.2508 0.9961 0.7379
Na: 0.7492 0.0039 0.2621
Na: 0.7492 0.4961 0.2621
Na: 0.7662 0.7500 0.9165
Fe: 0.2181 0.7500 0.3543
Fe: 0.7819 0.2500 0.6457
P: 0.2977 0.2500 0.4164
P: 0.7023 0.7500 0.5836
C: 0.2718 0.7500 0.0624
C: 0.7282 0.2500 0.9376
O: 0.0474 0.7500 0.1244
O: 0.1688 0.2500 0.5684
O: 0.2180 0.0638 0.3221
O: 0.2180 0.4362 0.3221
O: 0.2902 0.7500 0.9201
O: 0.4048 0.7500 0.5625
O: 0.4766 0.7500 0.1457
O: 0.5234 0.2500 0.8543
O: 0.5952 0.2500 0.4375
O: 0.7098 0.2500 0.0799
O: 0.7820 0.5638 0.6779
O: 0.7820 0.9362 0.6779
O: 0.8312 0.7500 0.4316
O: 0.9526 0.2500 0.8756

Principal peaks in the range 2θ from 10° to 90°, low angle first:
two_theta  I_rel
26.68  82
29.45  33
33.29  100
33.40  34
34.07  28
34.38  78
48.46  45
54.97  29